ZnSnPbAu3: calculated powder diffractogram (Cu Kα), based on a DFT-relaxed cell (PBE, Alexandria).
Intensities are scaled so that the largest is 100.

Principal peaks in the range 2θ from 10° to 80°, low angle first:
| 2θ/deg | I (rel.) |
| --- | --- |
| 30.9 | 100 |
| 34.5 | 72 |
| 34.7 | 58 |
| 38.1 | 42 |
| 44.0 | 53 |
| 44.7 | 30 |

Structural model:
```
ZnSnPbAu3
1.0
3.373 -7.084 0.000
3.373 7.084 0.000
-2.044 0.000 5.684
Zn Sn Pb Au
2 2 2 6
Direct
0.013 0.987 0.750 Zn
0.987 0.013 0.250 Zn
0.404 0.596 0.750 Sn
0.596 0.404 0.250 Sn
0.228 0.772 0.250 Pb
0.772 0.228 0.750 Pb
0.203 0.364 0.087 Au
0.205 0.795 0.750 Au
0.364 0.203 0.587 Au
0.636 0.797 0.413 Au
0.795 0.205 0.250 Au
0.797 0.636 0.913 Au
```


CsPaBi2O6: calculated powder diffractogram (Cu Kα), based on a DFT-relaxed cell (PBE, Alexandria).
Intensities are scaled so that the largest is 100.

Principal peaks in the range 2θ from 10° to 80°, low angle first:
| 2θ/deg | I (rel.) |
| --- | --- |
| 25.8 | 54 |
| 27.0 | 48 |
| 27.6 | 67 |
| 28.1 | 100 |
| 38.5 | 34 |
| 48.1 | 29 |

Structural model:
```
CsPaBi2O6
1.0
5.239 -5.662 0.000
5.239 5.662 0.000
-1.169 0.000 6.912
Cs Pa Bi O
2 2 4 12
Direct
0.078 0.922 0.750 Cs
0.922 0.078 0.250 Cs
0.300 0.700 0.250 Pa
0.700 0.300 0.750 Pa
0.218 0.442 0.674 Bi
0.442 0.218 0.174 Bi
0.558 0.782 0.826 Bi
0.782 0.558 0.326 Bi
0.026 0.710 0.296 O
0.253 0.627 0.939 O
0.285 0.414 0.288 O
0.290 0.974 0.204 O
0.373 0.747 0.561 O
0.414 0.285 0.788 O
0.586 0.715 0.212 O
0.627 0.253 0.439 O
0.710 0.026 0.796 O
0.715 0.586 0.712 O
0.747 0.373 0.061 O
0.974 0.290 0.704 O
```